# 1
The following is a computed XRD peak list of Co15Hg. It was derived from a cell relaxed with GGA-PBE, using λ = 1.5418 Å (Cu Kα).
Intensities are scaled so that the largest is 100.

Cell and atoms:
a = 4.2700 Å, b = 33.4994 Å, c = 4.2700 Å
α = 90.00°, β = 108.74°, γ = 90.00°
Sites, in units of the cell vectors:
Co (0.0000, 0.0183, 0.2500)
Co (0.0000, 0.0556, 0.7500)
Co (0.0000, 0.0924, 0.2500)
Co (0.0000, 0.1303, 0.7500)
Co (0.0000, 0.1667, 0.2500)
Co (0.0000, 0.2047, 0.7500)
Co (0.0000, 0.2407, 0.2500)
Co (0.0000, 0.7593, 0.7500)
Co (0.0000, 0.7953, 0.2500)
Co (0.0000, 0.8333, 0.7500)
Co (0.0000, 0.8697, 0.2500)
Co (0.0000, 0.9076, 0.7500)
Co (0.0000, 0.9444, 0.2500)
Co (0.0000, 0.9817, 0.7500)
Co (0.5000, 0.0186, 0.7500)
Co (0.5000, 0.0552, 0.2500)
Co (0.5000, 0.0925, 0.7500)
Co (0.5000, 0.1287, 0.2500)
Co (0.5000, 0.1668, 0.7500)
Co (0.5000, 0.2020, 0.2500)
Co (0.5000, 0.2407, 0.7500)
Co (0.5000, 0.2734, 0.2500)
Co (0.5000, 0.7266, 0.7500)
Co (0.5000, 0.7593, 0.2500)
Co (0.5000, 0.7980, 0.7500)
Co (0.5000, 0.8332, 0.2500)
Co (0.5000, 0.8713, 0.7500)
Co (0.5000, 0.9075, 0.2500)
Co (0.5000, 0.9448, 0.7500)
Co (0.5000, 0.9814, 0.2500)
Hg (0.0000, 0.2958, 0.7500)
Hg (0.0000, 0.7042, 0.2500)

Largest 12 diffraction maxima, by angle, 2θ = 15–90°:
two_theta  I_rel
25.78  16
27.83  9
39.36  12
43.76  62
44.85  100
46.07  25
51.03  36
52.77  30
53.11  15
76.46  20
76.62  9
78.13  9

***

# 2
The following is a computed XRD peak list of Co7Hg. It was derived from a cell relaxed with GGA-PBE, using λ = 1.5418 Å (Cu Kα).
Intensities are scaled so that the largest is 100.

Cell and atoms:
a = 2.5898 Å, b = 3.4052 Å, c = 33.9512 Å
α = 90.00°, β = 90.00°, γ = 90.00°
Sites, in units of the cell vectors:
Co (0.2500, 0.2500, 0.0182)
Co (0.2500, 0.2500, 0.0910)
Co (0.2500, 0.2500, 0.1640)
Co (0.2500, 0.2500, 0.2350)
Co (0.2500, 0.2500, 0.7994)
Co (0.2500, 0.2500, 0.8719)
Co (0.2500, 0.2500, 0.9453)
Co (0.7500, 0.7500, 0.0547)
Co (0.7500, 0.7500, 0.1281)
Co (0.7500, 0.7500, 0.2006)
Co (0.7500, 0.7500, 0.7650)
Co (0.7500, 0.7500, 0.8360)
Co (0.7500, 0.7500, 0.9090)
Co (0.7500, 0.7500, 0.9818)
Hg (0.2500, 0.2500, 0.7106)
Hg (0.7500, 0.7500, 0.2894)

Largest 12 diffraction maxima, by angle, 2θ = 15–90°:
two_theta  I_rel
18.29  20
26.29  29
28.24  18
30.64  20
35.53  16
39.40  21
43.68  58
43.94  100
45.96  27
49.57  39
53.84  21
76.20  21